The following is a theoretical PXRD pattern of Ti2MoIr. It was derived from a structure optimized by DFT (GGA-PBE), using λ = 1.5418 Å (Cu Kα).
Lines closer than 0.1° are merged.

Cell and atoms:
abc: 6.2529 6.2529 6.2529
angles: 90.00 90.00 90.00
Element x y z (fractional)
Ti 0.2500 0.2500 0.2500
Ti 0.2500 0.2500 0.7500
Ti 0.2500 0.7500 0.2500
Ti 0.2500 0.7500 0.7500
Ti 0.7500 0.2500 0.2500
Ti 0.7500 0.2500 0.7500
Ti 0.7500 0.7500 0.2500
Ti 0.7500 0.7500 0.7500
Mo 0.0000 0.0000 0.0000
Mo 0.0000 0.5000 0.5000
Mo 0.5000 0.0000 0.5000
Mo 0.5000 0.5000 0.0000
Ir 0.0000 0.0000 0.5000
Ir 0.0000 0.5000 0.0000
Ir 0.5000 0.0000 0.0000
Ir 0.5000 0.5000 0.5000

Main lines, low angle first (2θ from 5° to 70°):
| index | Position (°2θ) | d (Å) | I/Imax |
| --- | --- | --- | --- |
| 1 1 1 | 24.66 | 3.610 | 14 |
| 2 0 0 | 28.55 | 3.126 | 33 |
| 2 2 0 | 40.82 | 2.211 | 100 |
| 3 1 1 | 48.27 | 1.885 | 8 |
| 2 2 2 | 50.57 | 1.805 | 10 |
| 4 0 0 | 59.10 | 1.563 | 16 |
| 3 3 1 | 65.01 | 1.435 | 3 |
| 4 2 0 | 66.92 | 1.398 | 13 |